For AgSbBr2, a structure optimized by DFT (GGA-PBE) gives the calculated XRD peak list in this record (Cu Ka).
Intensities are scaled so that the largest is 1000.

Atomic structure:
Lattice parameters (Å, degrees): 5.373 3.865 6.095 90.00 110.97 90.00
Fractional positions:
Ag 0.000 0.000 0.000
Sb 0.370 0.500 0.254
Br 0.564 0.500 0.913
Br 0.851 0.000 0.510

Most intense lines, 10 to 80 degrees two-theta, low angle first:
d [Å]	Position (°2θ)	I/Imax
5.692	15.57	285
4.686	18.94	232
3.062	29.17	1000
2.974	30.04	466
2.480	36.22	332
2.292	39.32	319
2.200	41.03	199
2.042	44.37	158
2.004	45.26	206
1.932	47.03	175
1.787	51.12	121
1.621	56.80	199

***

For CsKCd2Pb, a structure optimized by DFT (GGA-PBE) gives the calculated XRD peak list in this record (Cu Ka).
Intensities are scaled so that the largest is 1000.

Atomic structure:
Lattice parameters (Å, degrees): 6.107 6.107 6.622 90.00 90.00 90.00
Fractional positions:
Cs 0.000 0.000 0.000
K 0.500 0.500 0.000
Cd 0.000 0.500 0.500
Cd 0.500 0.000 0.500
Pb 0.500 0.500 0.500

Most intense lines, 10 to 80 degrees two-theta, low angle first:
d [Å]	Position (°2θ)	I/Imax
6.622	13.37	475
4.490	19.78	1000
3.617	24.61	289
3.311	26.93	521
3.054	29.25	844
2.773	32.28	248
2.525	35.55	474
2.245	40.17	712
2.159	41.84	317
1.809	50.46	364
1.455	63.98	207
1.262	75.27	220

***

For Al5Ga4Mo, a structure optimized by DFT (GGA-PBE) gives the calculated XRD peak list in this record (Cu Ka).
Intensities are scaled so that the largest is 1000.

Atomic structure:
Lattice parameters (Å, degrees): 6.643 6.643 6.643 98.22 98.22 135.57
Fractional positions:
Al 0.000 0.000 0.000
Al 0.505 0.505 0.614
Al 0.505 0.891 0.000
Al 0.891 0.505 0.000
Al 0.891 0.891 0.386
Ga 0.259 0.550 0.292
Ga 0.259 0.967 0.708
Ga 0.550 0.259 0.292
Ga 0.967 0.259 0.708
Mo 0.503 0.503 0.000

Most intense lines, 10 to 80 degrees two-theta, low angle first:
d [Å]	Position (°2θ)	I/Imax
4.350	20.42	455
3.075	29.04	606
2.750	32.56	239
2.511	35.76	1000
2.325	38.73	217
2.174	41.53	633
2.050	44.18	351
1.945	46.70	446
1.644	55.94	243
1.538	60.18	401
1.450	64.25	206
1.206	79.46	300

***

For FeIr5Ru2, a structure optimized by DFT (GGA-PBE) gives the calculated XRD peak list in this record (Cu Ka).
Intensities are scaled so that the largest is 1000.

Atomic structure:
Lattice parameters (Å, degrees): 5.694 5.694 4.158 90.00 90.00 90.00
Fractional positions:
Fe 0.000 0.000 0.000
Ir 0.000 0.000 0.500
Ir 0.288 0.288 0.000
Ir 0.288 0.712 0.000
Ir 0.712 0.288 0.000
Ir 0.712 0.712 0.000
Ru 0.000 0.500 0.500
Ru 0.500 0.000 0.500

Most intense lines, 10 to 80 degrees two-theta, low angle first:
d [Å]	Position (°2θ)	I/Imax
4.158	21.37	188
3.358	26.55	240
2.546	35.24	204
2.349	38.32	1000
2.079	43.53	252
2.013	45.03	345
1.898	47.93	144
1.476	62.96	155
1.446	64.43	237
1.402	66.73	107
1.246	76.44	136
1.217	78.58	132

***

For CsTlTe5, a structure optimized by DFT (GGA-PBE) gives the calculated XRD peak list in this record (Cu Ka).
Intensities are scaled so that the largest is 1000.

Atomic structure:
Lattice parameters (Å, degrees): 7.080 7.080 12.431 96.53 96.53 111.16
Fractional positions:
Cs 0.194 0.806 0.750
Cs 0.806 0.194 0.250
Tl 0.000 0.500 0.000
Tl 0.500 0.000 0.500
Te 0.100 0.227 0.554
Te 0.114 0.886 0.250
Te 0.227 0.100 0.054
Te 0.474 0.491 0.868
Te 0.491 0.474 0.368
Te 0.509 0.526 0.632
Te 0.526 0.509 0.132
Te 0.773 0.900 0.946
Te 0.886 0.114 0.750
Te 0.900 0.773 0.446

Most intense lines, 10 to 80 degrees two-theta, low angle first:
d [Å]	Position (°2θ)	I/Imax
5.380	16.48	234
3.647	24.41	274
3.487	25.54	509
3.276	27.22	1000
3.093	28.86	314
3.029	29.48	785
2.953	30.26	837
2.771	32.30	361
2.700	33.19	426
2.536	35.39	276
2.169	41.63	278
1.756	52.07	390

***

For Pm6HOs2Cl3, a structure optimized by DFT (GGA-PBE) gives the calculated XRD peak list in this record (Cu Ka).
Intensities are scaled so that the largest is 1000.

Atomic structure:
Lattice parameters (Å, degrees): 6.880 6.880 7.902 98.40 98.40 120.10
Fractional positions:
Pm 0.098 0.431 0.795
Pm 0.235 0.235 0.203
Pm 0.431 0.098 0.795
Pm 0.569 0.902 0.205
Pm 0.765 0.765 0.797
Pm 0.902 0.569 0.205
H 0.500 0.500 0.000
Os 0.167 0.833 0.000
Os 0.833 0.167 0.000
Cl 0.000 0.000 0.500
Cl 0.329 0.671 0.500
Cl 0.671 0.329 0.500

Most intense lines, 10 to 80 degrees two-theta, low angle first:
d [Å]	Position (°2θ)	I/Imax
7.557	11.71	455
5.754	15.40	68
3.290	27.10	116
2.940	30.41	1000
2.358	38.17	213
2.189	41.25	213
2.183	41.36	107
1.985	45.70	355
1.921	47.31	70
1.769	51.67	98
1.647	55.83	121
1.267	74.95	98

***

For AcNi3As3, a structure optimized by DFT (GGA-PBE) gives the calculated XRD peak list in this record (Cu Ka).
Intensities are scaled so that the largest is 1000.

Atomic structure:
Lattice parameters (Å, degrees): 6.486 6.486 6.486 90.00 90.00 90.00
Fractional positions:
Ac 0.000 0.000 0.000
Ac 0.500 0.500 0.500
Ni 0.000 0.250 0.500
Ni 0.000 0.750 0.500
Ni 0.250 0.500 0.000
Ni 0.500 0.000 0.250
Ni 0.500 0.000 0.750
Ni 0.750 0.500 0.000
As 0.000 0.500 0.250
As 0.000 0.500 0.750
As 0.250 0.000 0.500
As 0.500 0.250 0.000
As 0.500 0.750 0.000
As 0.750 0.000 0.500

Most intense lines, 10 to 80 degrees two-theta, low angle first:
d [Å]	Position (°2θ)	I/Imax
4.586	19.35	80
3.243	27.51	429
2.648	33.85	1000
2.293	39.29	16
2.051	44.16	23
1.872	48.63	36
1.733	52.82	567
1.621	56.78	178
1.529	60.57	16
1.450	64.23	157
1.383	67.77	133
1.272	74.62	19

***

For TbSm3Dy4, a structure optimized by DFT (GGA-PBE) gives the calculated XRD peak list in this record (Cu Ka).
Intensities are scaled so that the largest is 1000.

Atomic structure:
Lattice parameters (Å, degrees): 11.411 7.297 6.304 90.00 90.00 90.00
Fractional positions:
Tb 0.000 0.128 0.000
Tb 0.500 0.872 0.500
Sm 0.000 0.874 0.500
Sm 0.250 0.126 0.333
Sm 0.250 0.874 0.833
Sm 0.500 0.126 0.000
Sm 0.750 0.126 0.333
Sm 0.750 0.874 0.833
Dy 0.000 0.377 0.500
Dy 0.000 0.623 0.000
Dy 0.249 0.377 0.833
Dy 0.251 0.623 0.333
Dy 0.500 0.377 0.500
Dy 0.500 0.623 0.000
Dy 0.749 0.623 0.333
Dy 0.751 0.377 0.833

Most intense lines, 10 to 80 degrees two-theta, low angle first:
d [Å]	Position (°2θ)	I/Imax
3.156	28.28	238
2.853	31.36	243
2.762	32.42	1000
2.116	42.73	157
1.822	50.06	198
1.629	56.50	207
1.536	60.27	227
1.522	60.88	110
1.519	60.99	55
1.426	65.43	30
1.300	72.76	33
1.214	78.82	78